Starting from the PBE geometry in Alexandria, the XRD peak list of MgCd12Hg6 was calculated for Cu Kα (weighted mean of Kα1 and Kα2).

Crystal structure
```
MgCd12Hg6
1.0
6.3701 3.6778 3.2231
-6.3701 3.6778 3.2231
0.0000 -7.3556 3.2231
Mg Cd Hg
1 12 6
direct
0.0000 0.0000 0.0000 Mg
0.0452 0.2721 0.7807 Cd
0.1938 0.5415 0.6158 Cd
0.2193 0.9548 0.7279 Cd
0.2721 0.7807 0.0452 Cd
0.3842 0.8062 0.4585 Cd
0.4585 0.3842 0.8062 Cd
0.5415 0.6158 0.1938 Cd
0.6158 0.1938 0.5415 Cd
0.7279 0.2193 0.9548 Cd
0.7807 0.0452 0.2721 Cd
0.8062 0.4585 0.3842 Cd
0.9548 0.7279 0.2193 Cd
0.1345 0.4172 0.1994 Hg
0.1994 0.1345 0.4172 Hg
0.4172 0.1994 0.1345 Hg
0.5828 0.8006 0.8655 Hg
0.8006 0.8655 0.5828 Hg
0.8655 0.5828 0.8006 Hg
```

Most intense lines, 15 to 90 degrees two-theta, low angle first:
2θ 20.05, d = 4.428 Å, I = 26; 2θ 31.10, d = 2.876 Å, I = 33; 2θ 33.79, d = 2.653 Å, I = 100; 2θ 34.69, d = 2.586 Å, I = 57; 2θ 36.70, d = 2.449 Å, I = 52; 2θ 37.09, d = 2.424 Å, I = 78; 2θ 37.35, d = 2.408 Å, I = 34; 2θ 37.54, d = 2.396 Å, I = 38; 2θ 38.11, d = 2.361 Å, I = 45; 2θ 39.79, d = 2.266 Å, I = 34


Starting from the PBE geometry in Alexandria, the XRD peak list of Li3GeBi3Se8 was calculated for Cu Kα (weighted mean of Kα1 and Kα2).

Crystal structure
```
Li3GeBi3Se8
1.0
4.0857 2.3589 6.5983
-4.0857 2.3589 6.5983
0.0000 -4.7177 6.5983
Li Ge Bi Se
3 1 3 8
direct
0.0000 0.5000 0.5000 Li
0.5000 0.0000 0.5000 Li
0.5000 0.5000 0.0000 Li
0.5000 0.5000 0.5000 Ge
0.0000 0.0000 0.5000 Bi
0.0000 0.5000 0.0000 Bi
0.5000 0.0000 0.0000 Bi
0.2556 0.2556 0.2556 Se
0.2722 0.2722 0.7144 Se
0.2722 0.7144 0.2722 Se
0.2856 0.7278 0.7278 Se
0.7144 0.2722 0.2722 Se
0.7278 0.2856 0.7278 Se
0.7278 0.7278 0.2856 Se
0.7444 0.7444 0.7444 Se
```

Most intense lines, 15 to 90 degrees two-theta, low angle first:
2θ 25.58, d = 3.482 Å, I = 47; 2θ 31.07, d = 2.878 Å, I = 100; 2θ 33.98, d = 2.638 Å, I = 20; 2θ 40.85, d = 2.209 Å, I = 13; 2θ 44.34, d = 2.043 Å, I = 35; 2θ 44.69, d = 2.028 Å, I = 36; 2θ 46.54, d = 1.951 Å, I = 18; 2θ 55.13, d = 1.666 Å, I = 18; 2θ 73.33, d = 1.291 Å, I = 14; 2θ 73.84, d = 1.283 Å, I = 15


Starting from the PBE geometry in Alexandria, the XRD peak list of Ag3PdAu8 was calculated for Cu Kα (weighted mean of Kα1 and Kα2).

Crystal structure
```
Ag3PdAu8
1.0
5.0430 0.0000 0.0000
-0.9046 4.9820 0.0000
-0.0343 -2.5448 8.4615
Ag Pd Au
3 1 8
direct
0.0000 0.0000 0.0000 Ag
0.2484 0.5029 0.2516 Ag
0.7516 0.4971 0.7484 Ag
0.5000 0.0000 0.5000 Pd
0.0020 0.9998 0.6646 Au
0.2510 0.5020 0.9176 Au
0.2543 0.5008 0.5823 Au
0.4987 0.0008 0.1695 Au
0.5013 0.9992 0.8305 Au
0.7457 0.4992 0.4177 Au
0.7490 0.4980 0.0824 Au
0.9980 0.0002 0.3354 Au
```

Most intense lines, 15 to 90 degrees two-theta, low angle first:
2θ 37.63, d = 2.390 Å, I = 100; 2θ 37.71, d = 2.385 Å, I = 33; 2θ 43.31, d = 2.089 Å, I = 23; 2θ 43.70, d = 2.071 Å, I = 22; 2θ 44.25, d = 2.047 Å, I = 21; 2θ 63.64, d = 1.462 Å, I = 14; 2θ 75.64, d = 1.257 Å, I = 9; 2θ 75.75, d = 1.256 Å, I = 9; 2θ 76.26, d = 1.249 Å, I = 9; 2θ 76.98, d = 1.239 Å, I = 8


Starting from the PBE geometry in Alexandria, the XRD peak list of Y4Al12Ga was calculated for Cu Kα (weighted mean of Kα1 and Kα2).

Crystal structure
```
Y4Al12Ga
1.0
-4.3760 4.3760 4.3760
4.3760 -4.3760 4.3760
4.3760 4.3760 -4.3760
Y Al Ga
4 12 1
direct
0.0000 0.0000 0.5000 Y
0.0000 0.5000 0.0000 Y
0.5000 0.0000 0.0000 Y
0.5000 0.5000 0.5000 Y
0.0000 0.3080 0.3080 Al
0.0000 0.6920 0.6920 Al
0.2500 0.5000 0.7500 Al
0.2500 0.7500 0.5000 Al
0.3080 0.0000 0.3080 Al
0.3080 0.3080 0.0000 Al
0.5000 0.2500 0.7500 Al
0.5000 0.7500 0.2500 Al
0.6920 0.0000 0.6920 Al
0.6920 0.6920 0.0000 Al
0.7500 0.2500 0.5000 Al
0.7500 0.5000 0.2500 Al
0.0000 0.0000 0.0000 Ga
```

Most intense lines, 15 to 90 degrees two-theta, low angle first:
2θ 20.29, d = 4.376 Å, I = 26; 2θ 28.85, d = 3.094 Å, I = 100; 2θ 35.53, d = 2.526 Å, I = 99; 2θ 38.49, d = 2.339 Å, I = 19; 2θ 41.26, d = 2.188 Å, I = 75; 2θ 51.13, d = 1.786 Å, I = 29; 2θ 59.77, d = 1.547 Å, I = 42; 2θ 67.71, d = 1.384 Å, I = 24; 2θ 71.51, d = 1.319 Å, I = 28; 2θ 82.47, d = 1.170 Å, I = 21


- Number 2 is which compound?
  Li3GeBi3Se8